Starting from a DFT-relaxed cell (GGA-PBE, the Materials Project), the XRD peak list of KAuCl3 was simulated for Cu Kα X-rays.
No peak broadening, texture or thermal motion is included.

Principal peaks in the range 10 to 90 degrees two-theta, in order of falling intensity:
- hkl 1 0 0, 2θ = 17.26°, I = 100
- hkl 1 1 0, 2θ = 24.50°, I = 97
- hkl 2 0 0, 2θ = 34.92°, I = 58
- hkl 2 1 0, 2θ = 39.20°, I = 53
- hkl 2 1 1, 2θ = 43.12°, I = 45
- hkl 2 2 0, 2θ = 50.22°, I = 39

Crystal structure
```
data_KAuCl3
_cell_length_a 5.1385
_cell_length_b 5.1385
_cell_length_c 5.1385
_cell_angle_alpha 90.00
_cell_angle_beta 90.00
_cell_angle_gamma 90.00
_symmetry_space_group_name_H-M 'P m -3 m'
_symmetry_Int_Tables_number 221
_symmetry_space_group_name_Hall '-P 4 2 3'
loop_
_atom_site_label
_atom_site_type_symbol
_atom_site_fract_x
_atom_site_fract_y
_atom_site_fract_z
K1 K 0.0000 0.0000 0.0000
Au1 Au 0.5000 0.5000 0.5000
Cl1 Cl 0.0000 0.5000 0.5000
```